[1]
Structure and theoretical powder XRD pattern of AgBH7C9N7F4 (a PBE-relaxed structure; Cu Kα (λ = 1.5418 Å)).
No peak broadening, texture or thermal motion is included.

Crystal structure
Cell lengths 5.481, 14.061, 7.393 Å; angles 90.00, 94.21, 90.00 degrees
Atoms (fractional coordinates):
Ag: 0.000 0.000 0.000
Ag: 0.000 0.500 0.000
B: 0.042 0.250 0.425
B: 0.958 0.750 0.575
H: 0.137 0.750 0.955
H: 0.184 0.054 0.389
H: 0.184 0.446 0.389
H: 0.252 0.637 0.330
H: 0.252 0.863 0.330
H: 0.421 0.638 0.754
H: 0.421 0.862 0.754
H: 0.579 0.138 0.246
H: 0.579 0.362 0.246
H: 0.748 0.137 0.670
H: 0.748 0.363 0.670
H: 0.816 0.554 0.611
H: 0.816 0.946 0.611
H: 0.863 0.250 0.045
C: 0.029 0.250 0.973
C: 0.325 0.020 0.318
C: 0.325 0.480 0.318
C: 0.331 0.171 0.849
C: 0.331 0.329 0.849
C: 0.356 0.576 0.291
C: 0.356 0.924 0.291
C: 0.470 0.564 0.754
C: 0.470 0.936 0.754
C: 0.530 0.064 0.246
C: 0.530 0.436 0.246
C: 0.644 0.076 0.709
C: 0.644 0.424 0.709
C: 0.669 0.671 0.151
C: 0.669 0.829 0.151
C: 0.675 0.520 0.682
C: 0.675 0.980 0.682
C: 0.971 0.750 0.027
N: 0.122 0.166 0.932
N: 0.122 0.334 0.932
N: 0.325 0.000 0.824
N: 0.325 0.500 0.824
N: 0.434 0.086 0.796
N: 0.434 0.414 0.796
N: 0.450 0.250 0.810
N: 0.550 0.750 0.190
N: 0.566 0.586 0.204
N: 0.566 0.914 0.204
N: 0.675 0.000 0.176
N: 0.675 0.500 0.176
N: 0.878 0.666 0.068
N: 0.878 0.834 0.068
F: 0.054 0.168 0.535
F: 0.054 0.332 0.535
F: 0.186 0.750 0.679
F: 0.238 0.250 0.312
F: 0.762 0.750 0.688
F: 0.814 0.250 0.321
F: 0.946 0.668 0.465
F: 0.946 0.832 0.465

Top 6 peaks for 10° ≤ 2θ ≤ 80°, by angle:
12.0 deg, rel. 756; 12.6 deg, rel. 394; 17.4 deg, rel. 931; 23.3 deg, rel. 550; 28.2 deg, rel. 436; 30.2 deg, rel. 1000

---

[2]
Structure and theoretical powder XRD pattern of Nd2YTl2Cd4 (a PBE-relaxed structure; Cu Kα (λ = 1.5418 Å)).
No peak broadening, texture or thermal motion is included.

Crystal structure
Cell lengths 4.643, 7.639, 7.639 Å; angles 119.35, 90.00, 90.00 degrees
Atoms (fractional coordinates):
Nd: 0.000 0.211 0.789
Nd: 0.000 0.789 0.211
Y: 0.000 0.636 0.636
Tl: 0.500 0.548 0.876
Tl: 0.500 0.876 0.548
Cd: 0.000 0.220 0.220
Cd: 0.500 0.213 0.453
Cd: 0.500 0.453 0.213
Cd: 0.500 0.976 0.976

Top 6 peaks for 10° ≤ 2θ ≤ 80°, by angle:
30.1 deg, rel. 415; 30.3 deg, rel. 783; 33.1 deg, rel. 1000; 33.3 deg, rel. 504; 38.8 deg, rel. 514; 40.7 deg, rel. 478

---

[3]
Structure and theoretical powder XRD pattern of WI4 (a PBE-relaxed structure; Cu Kα (λ = 1.5418 Å)).
No peak broadening, texture or thermal motion is included.

Crystal structure
Cell lengths 8.069, 10.657, 10.815 Å; angles 83.41, 68.83, 69.69 degrees
Atoms (fractional coordinates):
W: 0.001 0.228 0.255
W: 0.266 0.367 0.862
W: 0.734 0.633 0.138
W: 0.999 0.772 0.745
I: 0.105 0.638 0.972
I: 0.123 0.496 0.666
I: 0.126 0.990 0.142
I: 0.132 0.159 0.452
I: 0.346 0.271 0.091
I: 0.346 0.776 0.619
I: 0.351 0.130 0.759
I: 0.400 0.600 0.251
I: 0.600 0.400 0.749
I: 0.649 0.870 0.241
I: 0.654 0.224 0.381
I: 0.654 0.729 0.909
I: 0.868 0.841 0.548
I: 0.874 0.010 0.858
I: 0.877 0.504 0.334
I: 0.895 0.362 0.028

Top 6 peaks for 10° ≤ 2θ ≤ 80°, by angle:
12.8 deg, rel. 810; 17.6 deg, rel. 420; 27.9 deg, rel. 1000; 28.1 deg, rel. 949; 28.3 deg, rel. 975; 43.9 deg, rel. 882

---

[4]
Structure and theoretical powder XRD pattern of Tb2Pm2O5 (a PBE-relaxed structure; Cu Kα (λ = 1.5418 Å)).
No peak broadening, texture or thermal motion is included.

Crystal structure
Cell lengths 4.393, 4.393, 7.467 Å; angles 90.00, 90.00, 90.00 degrees
Atoms (fractional coordinates):
Tb: 0.000 0.000 0.222
Tb: 0.000 0.000 0.778
Pm: 0.500 0.500 0.000
Pm: 0.500 0.500 0.500
O: 0.000 0.000 0.500
O: 0.000 0.500 0.217
O: 0.000 0.500 0.783
O: 0.500 0.000 0.217
O: 0.500 0.000 0.783

Top 6 peaks for 10° ≤ 2θ ≤ 80°, by angle:
28.7 deg, rel. 596; 31.4 deg, rel. 1000; 41.1 deg, rel. 349; 52.6 deg, rel. 476; 57.6 deg, rel. 143; 65.6 deg, rel. 125

---

[5]
Structure and theoretical powder XRD pattern of Na2SrNiH6 (a PBE-relaxed structure; Cu Kα (λ = 1.5418 Å)).
No peak broadening, texture or thermal motion is included.

Crystal structure
Cell lengths 5.518, 5.518, 5.518 Å; angles 60.00, 60.00, 60.00 degrees
Atoms (fractional coordinates):
Na: 0.250 0.250 0.250
Na: 0.750 0.750 0.750
Sr: 0.000 0.000 0.000
Ni: 0.500 0.500 0.500
H: 0.291 0.291 0.709
H: 0.291 0.709 0.291
H: 0.291 0.709 0.709
H: 0.709 0.291 0.291
H: 0.709 0.291 0.709
H: 0.709 0.709 0.291

Top 6 peaks for 10° ≤ 2θ ≤ 80°, by angle:
22.8 deg, rel. 361; 32.5 deg, rel. 1000; 46.6 deg, rel. 190; 52.4 deg, rel. 140; 57.9 deg, rel. 356; 77.3 deg, rel. 147